1.
Computed X-ray diffraction stick pattern
Compound: Li4Mg3Tl
Radiation: Cu Ka
Structure: a DFT-relaxed cell (PBE, Alexandria)

Principal peaks in the range 2θ = 10–90°, low angle first:
Position (°2θ), I/Imax
18.73, 39
19.27, 100
24.28, 30
27.74, 45
28.26, 25
30.44, 25
31.91, 69
33.69, 24
35.93, 47
36.05, 46
37.95, 40
63.39, 18

Lattice parameters (Å, degrees): 19.504 3.736 4.748 90.00 103.75 90.00
Space group C2/m (No. 12)
Unique sites:
1 Li 0.124 0.000 0.126 [4 per cell]
2 Li 0.244 0.500 0.243 [4 per cell]
3 Mg 0.000 0.500 0.000 [2 per cell]
4 Mg 0.130 0.500 0.633 [4 per cell]
5 Tl 0.000 0.000 0.500 [2 per cell]

***

2.
Computed X-ray diffraction stick pattern
Compound: Li3MgTl6
Radiation: Cu Ka
Structure: a DFT-relaxed cell (PBE, Alexandria)

Principal peaks in the range 2θ = 10–90°, low angle first:
Position (°2θ), I/Imax
22.14, 31
22.26, 54
25.73, 29
25.84, 60
30.93, 100
36.53, 72
36.77, 39
37.02, 85
53.13, 22
58.78, 17
60.14, 22
66.04, 24

Lattice parameters (Å, degrees): 8.538 11.833 4.888 90.00 90.00 90.00
Space group Pnnm (No. 58)
Unique sites:
1 Li 0.000 0.000 0.000 [2 per cell]
2 Li 0.160 0.336 0.500 [4 per cell]
3 Mg 0.000 0.500 0.000 [2 per cell]
4 Tl 0.007 0.753 0.000 [4 per cell]
5 Tl 0.150 0.905 0.500 [4 per cell]
6 Tl 0.191 0.606 0.500 [4 per cell]

***

3.
Computed X-ray diffraction stick pattern
Compound: Li6Mg3Tl2
Radiation: Cu Ka
Structure: a DFT-relaxed cell (PBE, Alexandria)

Principal peaks in the range 2θ = 10–90°, low angle first:
Position (°2θ), I/Imax
12.00, 100
18.59, 26
21.58, 29
22.77, 27
24.13, 31
27.58, 17
30.17, 19
33.47, 15
35.29, 24
36.05, 24
36.97, 20
42.33, 16

Lattice parameters (Å, degrees): 8.566 3.234 9.030 90.00 114.22 90.00
Space group P2/m (No. 10)
Unique sites:
1 Li 0.068 0.000 0.390 [2 per cell]
2 Li 0.397 0.000 0.084 [2 per cell]
3 Li 0.401 0.000 0.588 [2 per cell]
4 Mg 0.000 0.000 0.000 [1 per cell]
5 Mg 0.244 0.500 0.780 [2 per cell]
6 Tl 0.277 0.500 0.279 [2 per cell]